Theoretical powder X-ray diffraction pattern of CaHoFe2O6 for Cu Kα, 1.54184 Å, from a DFT-relaxed cell (PBE+U, Alexandria).
Neutral-atom scattering factors, no anomalous dispersion.

Principal peaks in the range 5° ≤ 2θ ≤ 70°, in order of rising 2θ:
2θ/deg  intensity
19.72  28
20.30  34
25.90  16
32.13  20
33.02  100
33.59  25
39.24  20
47.17  22
47.62  16
53.61  15
59.53  12
59.71  23

Crystal structure
Lattice parameters (Å, degrees): 7.639 5.572 5.335 90.00 90.00 90.00
Space group Pmn2_1 (No. 31)
Unique sites:
Ca 0.000 0.196 0.000 (multiplicity 2)
Ho 0.000 0.682 0.531 (multiplicity 2)
Fe 0.250 0.245 0.513 (multiplicity 4)
O 0.000 0.282 0.426 (multiplicity 2)
O 0.000 0.778 0.121 (multiplicity 2)
O 0.197 0.943 0.706 (multiplicity 4)
O 0.202 0.459 0.803 (multiplicity 4)